Entry 1:
This entry pairs a crystal structure of AcTlFe2O6 with its computed X-ray diffraction stick pattern. Radiation: Cu Kα, 1.54184 Å. Structure: a crystal structure in Alexandria, relaxed with PBE+U.
No peak broadening, texture or thermal motion is included.

Crystal structure
```
AcTlFe2O6
1.0
-2.851 3.981 2.784
2.851 -3.981 2.784
2.851 3.981 -2.784
Ac Tl Fe O
1 1 2 6
direct
0.000 0.000 0.000
0.532 0.032 0.500
0.262 0.507 0.755
0.752 0.507 0.245
0.133 0.633 0.500
0.432 0.432 0.000
0.543 0.005 0.069
0.543 0.475 0.538
0.937 0.005 0.462
0.937 0.475 0.931
```

Principal peaks in the range 10° ≤ 2θ ≤ 90°, low angle first:
| 2θ (°) | d/Å | I/Imax |
| --- | --- | --- |
| 22.3 | 3.982 | 50.7 |
| 31.4 | 2.851 | 25.6 |
| 31.8 | 2.816 | 100.0 |
| 32.2 | 2.784 | 21.2 |
| 38.9 | 2.318 | 16.8 |
| 45.6 | 1.991 | 37.7 |
| 51.3 | 1.781 | 15.8 |
| 56.1 | 1.639 | 20.6 |
| 57.1 | 1.613 | 20.5 |
| 75.5 | 1.259 | 17.3 |

Entry 2:
This entry pairs a crystal structure of NpMn2AsO8 with its computed X-ray diffraction stick pattern. Radiation: Cu Kα, 1.54184 Å. Structure: a crystal structure in Alexandria, relaxed with PBE+U.
No peak broadening, texture or thermal motion is included.

Crystal structure
```
NpMn2AsO8
1.0
3.254 -3.506 0.000
3.254 3.506 0.000
0.000 0.000 6.282
Np Mn As O
1 2 1 8
direct
0.000 0.000 0.000
0.500 0.500 0.263
0.500 0.500 0.737
0.000 0.000 0.500
0.181 0.819 0.272
0.181 0.819 0.728
0.285 0.285 0.500
0.310 0.310 0.000
0.690 0.690 0.000
0.715 0.715 0.500
0.819 0.181 0.272
0.819 0.181 0.728
```

Principal peaks in the range 10° ≤ 2θ ≤ 90°, low angle first:
| 2θ (°) | d/Å | I/Imax |
| --- | --- | --- |
| 14.1 | 6.282 | 24.5 |
| 18.6 | 4.770 | 64.5 |
| 23.4 | 3.799 | 42.8 |
| 25.4 | 3.506 | 77.6 |
| 27.4 | 3.254 | 60.6 |
| 34.2 | 2.623 | 100.0 |
| 37.7 | 2.385 | 29.2 |
| 50.7 | 1.802 | 48.8 |
| 52.9 | 1.730 | 39.7 |
| 65.8 | 1.419 | 26.9 |

What is the formula in the second record? NpMn2AsO8

Copy entry 2 word for word.
This entry pairs a crystal structure of NpMn2AsO8 with its computed X-ray diffraction stick pattern. Radiation: Cu Kα, 1.54184 Å. Structure: a crystal structure in Alexandria, relaxed with PBE+U.
No peak broadening, texture or thermal motion is included.

Crystal structure
```
NpMn2AsO8
1.0
3.254 -3.506 0.000
3.254 3.506 0.000
0.000 0.000 6.282
Np Mn As O
1 2 1 8
direct
0.000 0.000 0.000
0.500 0.500 0.263
0.500 0.500 0.737
0.000 0.000 0.500
0.181 0.819 0.272
0.181 0.819 0.728
0.285 0.285 0.500
0.310 0.310 0.000
0.690 0.690 0.000
0.715 0.715 0.500
0.819 0.181 0.272
0.819 0.181 0.728
```

Principal peaks in the range 10° ≤ 2θ ≤ 90°, low angle first:
| 2θ (°) | d/Å | I/Imax |
| --- | --- | --- |
| 14.1 | 6.282 | 24.5 |
| 18.6 | 4.770 | 64.5 |
| 23.4 | 3.799 | 42.8 |
| 25.4 | 3.506 | 77.6 |
| 27.4 | 3.254 | 60.6 |
| 34.2 | 2.623 | 100.0 |
| 37.7 | 2.385 | 29.2 |
| 50.7 | 1.802 | 48.8 |
| 52.9 | 1.730 | 39.7 |
| 65.8 | 1.419 | 26.9 |